This entry pairs a crystal structure of Mg3In with its simulated powder diffractogram. Radiation: Cu Kα (λ = 1.5418 Å). Structure: a GGA-PBE-relaxed structure.
Intensities are scaled so that the largest is 100.

Principal peaks in the range 2θ = 15–90°, in order of rising 2θ:
22.5 deg, 3.954 Å, intensity 100; 27.0 deg, 3.298 Å, intensity 25; 28.7 deg, 3.112 Å, intensity 62; 35.4 deg, 2.533 Å, intensity 76; 36.7 deg, 2.446 Å, intensity 33; 40.3 deg, 2.240 Å, intensity 42; 43.5 deg, 2.080 Å, intensity 43; 45.9 deg, 1.977 Å, intensity 35

Structure:
```
Mg3In
1.0
3.9544 2.2831 8.1524
-3.9544 2.2831 8.1524
0.0000 -4.5662 8.1524
Mg In
12 4
Direct
0.0758 0.0758 0.6946 Mg
0.0758 0.6946 0.0758 Mg
0.1753 0.5848 0.5848 Mg
0.3054 0.9242 0.9242 Mg
0.4152 0.4152 0.8247 Mg
0.4152 0.8247 0.4152 Mg
0.5848 0.1753 0.5848 Mg
0.5848 0.5848 0.1753 Mg
0.6946 0.0758 0.0758 Mg
0.8247 0.4152 0.4152 Mg
0.9242 0.3054 0.9242 Mg
0.9242 0.9242 0.3054 Mg
0.1525 0.1525 0.1525 In
0.2822 0.2822 0.2822 In
0.7178 0.7178 0.7178 In
0.8475 0.8475 0.8475 In
```